Record 1
Computed PXRD pattern of AcAs3 for CuKα, from DFT lattice parameters and positions (PBE).
Intensities are scaled so that the largest is 100.

Largest 6 diffraction maxima, low angle first, 2θ = 10–90°:
- 18.4°, I = 27
- 27.2°, I = 56
- 33.1°, I = 100
- 37.3°, I = 49
- 46.8°, I = 26
- 64.6°, I = 29

Structural model:
Cell lengths 4.820, 4.820, 4.461 Å; angles 90.00, 90.00, 90.00 degrees
Space group P4mm (No. 99)
Asymmetric unit:
Ac 0.000 0.000 0.000 [1 per cell]
As 0.000 0.500 0.492 [2 per cell]
As 0.500 0.500 0.235 [1 per cell]

Record 2
Computed PXRD pattern of Ac4As for CuKα, from DFT lattice parameters and positions (PBE).
Intensities are scaled so that the largest is 100.

Largest 6 diffraction maxima, low angle first, 2θ = 10–90°:
- 25.3°, I = 100
- 29.3°, I = 75
- 41.9°, I = 58
- 49.6°, I = 51
- 66.9°, I = 21
- 68.8°, I = 27

Structural model:
Cell lengths 6.099, 6.099, 6.099 Å; angles 90.00, 90.00, 90.00 degrees
Space group Pm-3m (No. 221)
Asymmetric unit:
Ac 0.000 0.000 0.000 [1 per cell]
Ac 0.000 0.500 0.500 [3 per cell]
As 0.500 0.500 0.500 [1 per cell]

Record 3
Computed PXRD pattern of Ac2As4Au for CuKα, from DFT lattice parameters and positions (PBE).
Intensities are scaled so that the largest is 100.

Largest 6 diffraction maxima, low angle first, 2θ = 10–90°:
- 22.5°, I = 58
- 33.6°, I = 46
- 34.4°, I = 100
- 42.2°, I = 37
- 55.0°, I = 23
- 72.1°, I = 24

Structural model:
Cell lengths 4.283, 4.283, 10.246 Å; angles 90.00, 90.00, 90.00 degrees
Space group P-4m2 (No. 115)
Asymmetric unit:
Ac 0.000 0.500 0.247 [2 per cell]
As 0.000 0.000 0.000 [1 per cell]
As 0.000 0.500 0.643 [2 per cell]
As 0.500 0.500 0.000 [1 per cell]
Au 0.000 0.000 0.500 [1 per cell]

Record 4
Computed PXRD pattern of AcAsHAu for CuKα, from DFT lattice parameters and positions (PBE).
Intensities are scaled so that the largest is 100.

Largest 6 diffraction maxima, low angle first, 2θ = 10–90°:
- 22.9°, I = 12
- 30.0°, I = 100
- 40.3°, I = 41
- 51.0°, I = 23
- 57.0°, I = 23
- 66.9°, I = 21

Structural model:
Cell lengths 4.4800, 4.4800, 4.6577 Å; angles 90.00, 90.00, 120.00 degrees
Space group P3m1 (No. 156)
Asymmetric unit:
Ac 0.0000 0.0000 0.0000 [1 per cell]
As 0.6667 0.3333 0.5823 [1 per cell]
H 0.3333 0.6667 0.0612 [1 per cell]
Au 0.3333 0.6667 0.4568 [1 per cell]

Record 5
Computed PXRD pattern of AcB2AsO8 for CuKα, from DFT lattice parameters and positions (PBE).
Intensities are scaled so that the largest is 100.

Largest 6 diffraction maxima, low angle first, 2θ = 10–90°:
- 21.7°, I = 100
- 23.4°, I = 53
- 24.2°, I = 37
- 32.2°, I = 46
- 33.3°, I = 47
- 40.1°, I = 31

Structural model:
Cell lengths 7.626, 4.861, 7.359 Å; angles 90.00, 93.35, 90.00 degrees
Space group C2/m (No. 12)
Asymmetric unit:
Ac 0.000 0.000 0.000 [2 per cell]
B 0.130 0.500 0.300 [4 per cell]
As 0.000 0.000 0.500 [2 per cell]
O 0.016 0.252 0.315 [8 per cell]
O 0.189 0.500 0.118 [4 per cell]
O 0.243 0.000 0.539 [4 per cell]

Record 6
Computed PXRD pattern of Ac2BAsPt6 for CuKα, from DFT lattice parameters and positions (PBE).
Intensities are scaled so that the largest is 100.

Largest 6 diffraction maxima, low angle first, 2θ = 10–90°:
- 32.2°, I = 100
- 35.4°, I = 89
- 35.5°, I = 35
- 41.0°, I = 73
- 55.4°, I = 37
- 67.4°, I = 23

Structural model:
Cell lengths 12.098, 5.865, 6.647 Å; angles 90.00, 123.32, 90.00 degrees
Space group Cm (No. 8)
Asymmetric unit:
Ac 0.000 0.000 0.000 [2 per cell]
Ac 0.034 0.500 0.534 [2 per cell]
B 0.173 0.500 0.173 [2 per cell]
As 0.196 0.000 0.696 [2 per cell]
Pt 0.266 0.248 0.056 [4 per cell]
Pt 0.266 0.249 0.476 [4 per cell]
Pt 0.457 0.500 0.458 [2 per cell]
Pt 0.464 0.000 0.964 [2 per cell]

Q: What is the formula in the sixth record?
A: Ac2BAsPt6